No. 1
The following is a calculated powder X-ray diffraction pattern of CePr4Dy10. It was derived from a cell relaxed with GGA-PBE, using Cu Kα (weighted mean of Kα1 and Kα2).
No peak broadening, texture or thermal motion is included.

Principal peaks in the range 2θ from 15° to 90°, by angle:
25.0°, rel. 14.7; 27.3°, rel. 28.7; 30.7°, rel. 28.1; 31.7°, rel. 100.0; 33.7°, rel. 36.7; 34.5°, rel. 16.4; 40.7°, rel. 35.8; 45.5°, rel. 11.2; 53.1°, rel. 15.7; 63.2°, rel. 10.7; 65.4°, rel. 14.3; 67.4°, rel. 17.4

Cell and atoms:
Cell: 8.924 8.924 8.924 Å, 101.65 101.65 126.60°
Sites, in units of the cell vectors:
Ce 0.000 0.000 0.000
Pr 0.226 0.226 0.452
Pr 0.226 0.774 0.000
Pr 0.774 0.226 0.000
Pr 0.774 0.774 0.548
Dy 0.088 0.294 0.794
Dy 0.250 0.750 0.500
Dy 0.294 0.088 0.794
Dy 0.294 0.500 0.206
Dy 0.500 0.294 0.206
Dy 0.500 0.706 0.794
Dy 0.706 0.500 0.794
Dy 0.706 0.912 0.206
Dy 0.750 0.250 0.500
Dy 0.912 0.706 0.206

=====

No. 2
The following is a calculated powder X-ray diffraction pattern of Ta4MnRe. It was derived from a cell relaxed with GGA-PBE, using Cu Kα (weighted mean of Kα1 and Kα2).
No peak broadening, texture or thermal motion is included.

Principal peaks in the range 2θ from 15° to 90°, by angle:
28.1°, rel. 2.2; 29.6°, rel. 5.3; 33.7°, rel. 5.0; 39.6°, rel. 100.0; 40.2°, rel. 49.2; 55.6°, rel. 2.4; 56.4°, rel. 8.3; 58.2°, rel. 16.8; 71.5°, rel. 16.4; 72.7°, rel. 33.8; 85.3°, rel. 10.5; 86.9°, rel. 5.6

Cell and atoms:
Cell: 3.172 3.172 9.794 Å, 90.00 90.00 90.00°
Sites, in units of the cell vectors:
Ta 0.000 0.000 0.153
Ta 0.000 0.000 0.847
Ta 0.500 0.500 0.337
Ta 0.500 0.500 0.663
Mn 0.500 0.500 0.000
Re 0.000 0.000 0.500

=====

No. 3
The following is a calculated powder X-ray diffraction pattern of K2TmPCO7. It was derived from a cell relaxed with GGA-PBE, using Cu Kα (weighted mean of Kα1 and Kα2).
No peak broadening, texture or thermal motion is included.

Principal peaks in the range 2θ from 15° to 90°, by angle:
15.3°, rel. 61.6; 17.7°, rel. 21.1; 19.8°, rel. 50.3; 21.7°, rel. 24.3; 23.4°, rel. 37.8; 23.5°, rel. 29.1; 25.2°, rel. 21.8; 26.8°, rel. 24.9; 30.8°, rel. 22.0; 31.0°, rel. 100.0; 33.5°, rel. 17.7; 41.3°, rel. 19.2

Cell and atoms:
Cell: 5.785 7.061 10.052 Å, 90.00 90.27 90.00°
Sites, in units of the cell vectors:
K 0.246 0.015 0.217
K 0.246 0.485 0.217
K 0.754 0.515 0.783
K 0.754 0.985 0.783
Tm 0.290 0.250 0.626
Tm 0.710 0.750 0.374
P 0.219 0.750 0.565
P 0.781 0.250 0.435
C 0.240 0.250 0.895
C 0.760 0.750 0.105
O 0.050 0.250 0.456
O 0.065 0.250 0.808
O 0.208 0.250 0.018
O 0.291 0.568 0.641
O 0.291 0.932 0.641
O 0.340 0.750 0.426
O 0.445 0.250 0.839
O 0.555 0.750 0.161
O 0.660 0.250 0.574
O 0.709 0.068 0.359
O 0.709 0.432 0.359
O 0.792 0.750 0.982
O 0.935 0.750 0.192
O 0.950 0.750 0.544

=====

No. 4
The following is a calculated powder X-ray diffraction pattern of LaPr2YTh. It was derived from a cell relaxed with GGA-PBE, using Cu Kα (weighted mean of Kα1 and Kα2).
No peak broadening, texture or thermal motion is included.

Principal peaks in the range 2θ from 15° to 90°, by angle:
28.4°, rel. 88.9; 29.4°, rel. 33.0; 29.9°, rel. 100.0; 30.7°, rel. 50.9; 31.0°, rel. 54.0; 32.7°, rel. 82.0; 34.9°, rel. 54.3; 36.7°, rel. 42.1; 37.3°, rel. 32.8; 44.2°, rel. 58.3; 52.6°, rel. 33.7; 56.0°, rel. 39.3

Cell and atoms:
Cell: 6.485 8.724 6.359 Å, 90.00 90.00 90.00°
Sites, in units of the cell vectors:
La 0.250 0.000 0.039
La 0.750 0.000 0.961
Pr 0.250 0.312 0.788
Pr 0.250 0.688 0.788
Pr 0.750 0.312 0.212
Pr 0.750 0.688 0.212
Y 0.250 0.500 0.309
Y 0.750 0.500 0.691
Th 0.000 0.000 0.500
Th 0.500 0.000 0.500

=====

No. 5
The following is a calculated powder X-ray diffraction pattern of TbPr2NdSm4. It was derived from a cell relaxed with GGA-PBE, using Cu Kα (weighted mean of Kα1 and Kα2).
No peak broadening, texture or thermal motion is included.

Principal peaks in the range 2θ from 15° to 90°, by angle:
30.0°, rel. 100.0; 34.8°, rel. 50.7; 50.0°, rel. 30.3; 50.1°, rel. 6.0; 59.4°, rel. 43.2; 62.4°, rel. 12.5; 73.4°, rel. 5.8; 81.3°, rel. 11.8; 81.4°, rel. 5.9; 83.8°, rel. 10.9; 83.9°, rel. 5.5

Cell and atoms:
Cell: 5.156 5.161 10.318 Å, 90.00 90.12 90.00°
Sites, in units of the cell vectors:
Tb 0.000 0.000 0.000
Pr 0.000 0.000 0.500
Pr 0.500 0.500 0.000
Nd 0.500 0.500 0.500
Sm 0.000 0.500 0.248
Sm 0.000 0.500 0.752
Sm 0.500 0.000 0.248
Sm 0.500 0.000 0.752

=====

No. 6
The following is a calculated powder X-ray diffraction pattern of Ac2La5Tl. It was derived from a cell relaxed with GGA-PBE, using Cu Kα (weighted mean of Kα1 and Kα2).
No peak broadening, texture or thermal motion is included.

Principal peaks in the range 2θ from 15° to 90°, by angle:
16.9°, rel. 3.7; 29.5°, rel. 100.0; 34.1°, rel. 51.0; 49.1°, rel. 37.1; 58.2°, rel. 14.9; 58.3°, rel. 29.6; 61.1°, rel. 12.8; 72.0°, rel. 4.0; 79.5°, rel. 12.1; 79.6°, rel. 6.0; 81.9°, rel. 5.7; 82.1°, rel. 11.2

Cell and atoms:
Cell: 7.432 7.432 7.432 Å, 120.09 120.09 89.84°
Sites, in units of the cell vectors:
Ac 0.000 0.500 0.500
Ac 0.500 0.000 0.500
La 0.000 0.000 0.000
La 0.000 0.000 0.499
La 0.000 0.500 0.000
La 0.500 0.000 0.000
La 0.500 0.500 0.501
Tl 0.500 0.500 0.000